PmZr2Si4: simulated powder diffraction line list (Cu Kα (weighted mean of Kα1 and Kα2)), based on the PBE geometry in Alexandria.

Atomic structure:
abc: 3.8960 3.9626 16.9247
angles: 90.00 90.00 90.00
Element x y z (fractional)
1 Pm 0.0000 0.0000 0.0000
2 Pm 0.5000 0.5000 0.5000
3 Zr 0.0000 0.5000 0.3145
4 Zr 0.0000 0.5000 0.6855
5 Zr 0.5000 0.0000 0.1855
6 Zr 0.5000 0.0000 0.8145
7 Si 0.0000 0.0000 0.4298
8 Si 0.0000 0.0000 0.5702
9 Si 0.0000 0.5000 0.1542
10 Si 0.0000 0.5000 0.8458
11 Si 0.5000 0.0000 0.3458
12 Si 0.5000 0.0000 0.6542
13 Si 0.5000 0.5000 0.0702
14 Si 0.5000 0.5000 0.9298

The 10 most intense peaks (2θ = 10–80°), low angle first:
- (0 1 1), 2θ 23.05, intensity 21
- (1 0 3), 2θ 27.83, intensity 48
- (0 0 6), 2θ 31.72, intensity 23
- (1 1 2), 2θ 33.96, intensity 100
- (0 1 5), 2θ 34.86, intensity 49
- (1 1 4), 2θ 38.78, intensity 22
- (1 0 7), 2θ 44.08, intensity 21
- (0 2 0), 2θ 45.80, intensity 23
- (1 1 8), 2θ 54.48, intensity 32
- (2 1 5), 2θ 59.51, intensity 20